Tl4Sb2N3: theoretical X-ray diffraction stick pattern (Cu Kα (λ = 1.5418 Å)), based on the PBE geometry in Alexandria.

abc: 5.8677 7.9170 11.8724
angles: 84.54 81.57 87.60
Fractional coordinates of all 18 atoms:
1 Tl 0.0076 0.0213 0.3561
2 Tl 0.0218 0.7961 0.0616
3 Tl 0.4509 0.7010 0.6546
4 Tl 0.4832 0.0700 0.1386
5 Tl 0.5168 0.9300 0.8614
6 Tl 0.5491 0.2990 0.3454
7 Tl 0.9782 0.2039 0.9384
8 Tl 0.9924 0.9787 0.6439
9 Sb 0.0183 0.5544 0.2719
10 Sb 0.4721 0.7756 0.3693
11 Sb 0.5279 0.2244 0.6307
12 Sb 0.9817 0.4456 0.7281
13 N 0.1738 0.2388 0.6687
14 N 0.2484 0.0328 0.0055
15 N 0.3376 0.5654 0.3178
16 N 0.6624 0.4346 0.6822
17 N 0.7516 0.9672 0.9945
18 N 0.8262 0.7612 0.3313

Top 6 peaks for 5° ≤ 2θ ≤ 70°, by angle:
11.23°, rel. 88; 26.87°, rel. 64; 28.79°, rel. 78; 30.82°, rel. 100; 31.67°, rel. 58; 33.19°, rel. 63